Entry 1:
This entry pairs a crystal structure of MgCu2Rh4O8 with its calculated powder diffraction line list. Radiation: Cu Kα, 1.54184 Å. Structure: a GGA-PBE-relaxed structure.
Neutral-atom scattering factors, no anomalous dispersion.

The 10 most intense peaks (10 to 80 degrees two-theta), most intense first:
two_theta, I (rel.), h k l
33.4, 100, 0 2 1
32.8, 88, 1 0 2
17.0, 57, 0 0 1
35.2, 44, 2 2 2
58.6, 40, 2 4 2
40.8, 38, 0 2 2
17.4, 36, 1 1 1
40.2, 35, 2 2 0
52.7, 30, 2 -1 2
53.4, 29, 3 2 0

Structural model:
a = 6.253 Å, b = 6.301 Å, c = 6.301 Å
α = 61.58°, β = 60.26°, γ = 60.26°
Space group P1 (No. 1)
Unique sites:
1 Mg 0.000 0.000 0.000 (multiplicity 1)
2 Cu 0.590 0.911 0.910 (multiplicity 1)
3 Cu 0.723 0.277 0.279 (multiplicity 1)
4 Rh 0.218 0.534 0.534 (multiplicity 1)
5 Rh 0.225 0.030 0.521 (multiplicity 1)
6 Rh 0.226 0.521 0.030 (multiplicity 1)
7 Rh 0.716 0.534 0.534 (multiplicity 1)
8 O 0.008 0.776 0.776 (multiplicity 1)
9 O 0.417 0.295 0.295 (multiplicity 1)
10 O 0.442 0.776 0.776 (multiplicity 1)
11 O 0.457 0.325 0.763 (multiplicity 1)
12 O 0.457 0.762 0.326 (multiplicity 1)
13 O 0.987 0.309 0.719 (multiplicity 1)
14 O 0.987 0.719 0.309 (multiplicity 1)
15 O 0.994 0.295 0.295 (multiplicity 1)

Entry 2:
This entry pairs a crystal structure of MgCu2Rh4O8 with its calculated powder diffraction line list. Radiation: Cu Kα, 1.54184 Å. Structure: a GGA-PBE-relaxed structure.
Neutral-atom scattering factors, no anomalous dispersion.

The 10 most intense peaks (10 to 80 degrees two-theta), most intense first:
two_theta, I (rel.), h k l
32.2, 100, 2 1 1
56.5, 55, 4 0 0
16.7, 54, 1 0 1
51.6, 50, 0 1 5
27.4, 33, 1 1 2
33.7, 30, 0 2 2
39.1, 26, 2 2 0
48.4, 15, 2 0 4
42.8, 13, 2 1 3
67.5, 12, 4 2 2

Structural model:
a = 6.512 Å, b = 6.513 Å, c = 9.211 Å
α = 90.00°, β = 90.00°, γ = 90.00°
Space group Imm2 (No. 44)
Unique sites:
1 Mg 0.000 0.000 0.000 (multiplicity 2)
2 Cu 0.000 0.000 0.499 (multiplicity 2)
3 Cu 0.000 0.500 0.749 (multiplicity 2)
4 Rh 0.000 0.276 0.138 (multiplicity 4)
5 Rh 0.225 0.500 0.362 (multiplicity 4)
6 O 0.000 0.238 0.880 (multiplicity 4)
7 O 0.000 0.279 0.360 (multiplicity 4)
8 O 0.221 0.500 0.139 (multiplicity 4)
9 O 0.239 0.000 0.119 (multiplicity 4)

Entry 3:
This entry pairs a crystal structure of MgCu2Rh4O8 with its calculated powder diffraction line list. Radiation: Cu Kα, 1.54184 Å. Structure: a GGA-PBE-relaxed structure.
Neutral-atom scattering factors, no anomalous dispersion.

The 10 most intense peaks (10 to 80 degrees two-theta), most intense first:
two_theta, I (rel.), h k l
34.2, 100, 3 1 0
41.3, 65, 4 0 0
34.8, 47, 4 0 -1
61.5, 43, 0 4 0
17.9, 37, 2 0 -1
33.6, 36, 0 0 2
58.1, 34, 2 2 2
36.2, 32, 2 2 0
71.9, 26, 0 4 2
55.5, 24, 3 3 -2

Structural model:
a = 10.442 Å, b = 6.031 Å, c = 6.376 Å
α = 90.00°, β = 123.15°, γ = 90.00°
Space group C2/m (No. 12)
Unique sites:
1 Mg 0.000 0.000 0.000 (multiplicity 2)
2 Cu 0.153 0.000 0.460 (multiplicity 4)
3 Rh 0.000 0.500 0.000 (multiplicity 2)
4 Rh 0.000 0.500 0.500 (multiplicity 2)
5 Rh 0.250 0.250 0.000 (multiplicity 4)
6 O 0.009 0.264 0.765 (multiplicity 8)
7 O 0.231 0.500 0.192 (multiplicity 4)
8 O 0.246 0.500 0.766 (multiplicity 4)

Entry 4:
This entry pairs a crystal structure of MgCu2Sb2O8 with its calculated powder diffraction line list. Radiation: Cu Kα, 1.54184 Å. Structure: a GGA-PBE-relaxed structure.
Neutral-atom scattering factors, no anomalous dispersion.

The 10 most intense peaks (10 to 80 degrees two-theta), most intense first:
two_theta, I (rel.), h k l
29.0, 100, 0 0 4
30.1, 75, 2 1 1
29.7, 48, 2 1 -1
20.4, 43, 0 2 0
27.9, 39, 1 1 3
25.4, 34, 1 2 -1
28.3, 33, 1 2 -2
22.0, 32, 1 1 -2
31.7, 31, 0 3 1
37.0, 26, 1 3 2

Structural model:
a = 6.583 Å, b = 8.713 Å, c = 12.305 Å
α = 90.00°, β = 91.81°, γ = 90.00°
Space group P2_1/c (No. 14)
Unique sites:
1 Mg 0.108 0.166 0.051 (multiplicity 4)
2 Cu 0.240 0.679 0.629 (multiplicity 4)
3 Cu 0.379 0.059 0.624 (multiplicity 4)
4 Sb 0.097 0.047 0.343 (multiplicity 4)
5 Sb 0.392 0.586 0.365 (multiplicity 4)
6 O 0.033 0.246 0.398 (multiplicity 4)
7 O 0.091 0.108 0.612 (multiplicity 4)
8 O 0.123 0.039 0.190 (multiplicity 4)
9 O 0.187 0.575 0.475 (multiplicity 4)
10 O 0.297 0.626 0.215 (multiplicity 4)
11 O 0.345 0.522 0.910 (multiplicity 4)
12 O 0.407 0.225 0.080 (multiplicity 4)
13 O 0.485 0.119 0.852 (multiplicity 4)

Entry 5:
This entry pairs a crystal structure of Mg2CuSbO6 with its calculated powder diffraction line list. Radiation: Cu Kα, 1.54184 Å. Structure: a GGA-PBE-relaxed structure.
Neutral-atom scattering factors, no anomalous dispersion.

The 10 most intense peaks (10 to 80 degrees two-theta), most intense first:
two_theta, I (rel.), h k l
32.2, 100, 1 2 -1
21.1, 68, 1 0 -1
35.5, 65, 1 2 1
24.1, 54, 0 2 0
25.6, 51, 1 0 1
33.6, 50, 2 0 0
33.1, 40, 0 0 2
56.5, 39, 1 2 -3
42.9, 28, 2 0 -2
57.1, 26, 3 2 -1

Structural model:
a = 5.436 Å, b = 7.371 Å, c = 5.509 Å
α = 90.00°, β = 100.93°, γ = 90.00°
Space group P2_1/m (No. 11)
Unique sites:
1 Mg 0.036 0.250 0.079 (multiplicity 2)
2 Mg 0.436 0.750 0.474 (multiplicity 2)
3 Cu 0.000 0.000 0.500 (multiplicity 2)
4 Sb 0.500 0.000 0.000 (multiplicity 2)
5 O 0.097 0.750 0.581 (multiplicity 2)
6 O 0.146 0.055 0.825 (multiplicity 4)
7 O 0.364 0.072 0.290 (multiplicity 4)
8 O 0.374 0.750 0.089 (multiplicity 2)

Entry 6:
This entry pairs a crystal structure of MgCu2Se2O8 with its calculated powder diffraction line list. Radiation: Cu Kα, 1.54184 Å. Structure: a GGA-PBE-relaxed structure.
Neutral-atom scattering factors, no anomalous dispersion.

The 10 most intense peaks (10 to 80 degrees two-theta), most intense first:
two_theta, I (rel.), h k l
29.5, 100, 0 2 0
21.8, 89, 1 1 -1
33.4, 86, 1 1 2
23.0, 86, 1 1 1
34.5, 62, 3 1 0
25.7, 61, 2 0 1
44.4, 60, 2 2 -2
55.6, 37, 0 0 4
52.8, 35, 4 0 2
31.7, 32, 1 1 -2

Structural model:
a = 8.693 Å, b = 6.054 Å, c = 6.641 Å
α = 90.00°, β = 95.69°, γ = 90.00°
Space group C2/m (No. 12)
Unique sites:
1 Mg 0.000 0.000 0.000 (multiplicity 2)
2 Cu 0.000 0.500 0.000 (multiplicity 2)
3 Cu 0.000 0.500 0.500 (multiplicity 2)
4 Se 0.170 0.000 0.702 (multiplicity 4)
5 O 0.044 0.217 0.755 (multiplicity 8)
6 O 0.219 0.500 0.069 (multiplicity 4)
7 O 0.222 0.500 0.494 (multiplicity 4)

Entry 7:
This entry pairs a crystal structure of MgCu2Se2O8 with its calculated powder diffraction line list. Radiation: Cu Kα, 1.54184 Å. Structure: a GGA-PBE-relaxed structure.
Neutral-atom scattering factors, no anomalous dispersion.

The 10 most intense peaks (10 to 80 degrees two-theta), most intense first:
two_theta, I (rel.), h k l
22.0, 100, 1 1 -1
33.9, 44, 3 1 -1
30.3, 33, 1 1 2
32.5, 27, 0 2 0
18.0, 24, 2 0 0
49.6, 15, 4 2 0
18.5, 13, 1 1 0
23.8, 13, 0 0 2
52.1, 10, 1 3 -1
29.9, 10, 2 0 -2

Structural model:
a = 9.866 Å, b = 5.506 Å, c = 7.490 Å
α = 90.00°, β = 90.28°, γ = 90.00°
Space group Cm (No. 8)
Unique sites:
1 Mg 0.000 0.000 0.000 (multiplicity 2)
2 Cu 0.250 0.000 0.340 (multiplicity 2)
3 Cu 0.253 0.000 0.665 (multiplicity 2)
4 Se 0.045 0.500 0.505 (multiplicity 2)
5 Se 0.230 0.500 0.005 (multiplicity 2)
6 O 0.137 0.250 0.008 (multiplicity 4)
7 O 0.146 0.244 0.504 (multiplicity 4)
8 O 0.336 0.500 0.830 (multiplicity 2)
9 O 0.341 0.500 0.176 (multiplicity 2)
10 O 0.447 0.000 0.316 (multiplicity 2)
11 O 0.449 0.000 0.695 (multiplicity 2)

Entry 8:
This entry pairs a crystal structure of MgCu2Se2O8 with its calculated powder diffraction line list. Radiation: Cu Kα, 1.54184 Å. Structure: a GGA-PBE-relaxed structure.
Neutral-atom scattering factors, no anomalous dispersion.

The 10 most intense peaks (10 to 80 degrees two-theta), most intense first:
two_theta, I (rel.), h k l
32.9, 100, 2 1 1
22.4, 71, 1 1 1
28.8, 62, 0 2 0
35.0, 54, 0 1 3
25.1, 46, 1 0 2
60.2, 32, 2 2 4
45.8, 20, 2 2 2
53.6, 18, 2 3 1
55.1, 17, 0 3 3
38.6, 16, 1 2 2

Structural model:
a = 6.495 Å, b = 6.208 Å, c = 8.450 Å
α = 90.00°, β = 90.00°, γ = 90.00°
Space group Amm2 (No. 38)
Unique sites:
1 Mg 0.000 0.000 0.000 (multiplicity 2)
2 Cu 0.287 0.000 0.330 (multiplicity 4)
3 Se 0.000 0.000 0.670 (multiplicity 2)
4 Se 0.500 0.000 0.963 (multiplicity 2)
5 O 0.000 0.212 0.805 (multiplicity 4)
6 O 0.213 0.000 0.559 (multiplicity 4)
7 O 0.284 0.000 0.092 (multiplicity 4)
8 O 0.500 0.244 0.863 (multiplicity 4)

Entry 9:
This entry pairs a crystal structure of MgTlCu2Se2O10 with its calculated powder diffraction line list. Radiation: Cu Kα, 1.54184 Å. Structure: a GGA-PBE-relaxed structure.
Neutral-atom scattering factors, no anomalous dispersion.

The 10 most intense peaks (10 to 80 degrees two-theta), most intense first:
two_theta, I (rel.), h k l
25.0, 100, 1 1 -2
17.5, 79, 1 1 -1
30.1, 55, 3 1 -1
30.6, 52, 0 2 1
30.4, 48, 2 0 1
30.2, 30, 3 1 -2
35.4, 30, 2 2 -2
47.1, 28, 4 2 -3
30.8, 27, 2 0 -3
17.2, 24, 2 0 -1

Structural model:
a = 10.319 Å, b = 6.410 Å, c = 8.719 Å
α = 90.00°, β = 125.46°, γ = 90.00°
Space group Cm (No. 8)
Unique sites:
1 Mg 0.000 0.000 0.000 (multiplicity 2)
2 Tl 0.444 0.500 0.375 (multiplicity 2)
3 Cu 0.187 0.250 0.845 (multiplicity 4)
4 Se 0.033 0.500 0.134 (multiplicity 2)
5 Se 0.355 0.000 0.551 (multiplicity 2)
6 O 0.131 0.500 0.036 (multiplicity 2)
7 O 0.134 0.000 0.907 (multiplicity 2)
8 O 0.143 0.500 0.364 (multiplicity 2)
9 O 0.231 0.000 0.316 (multiplicity 2)
10 O 0.258 0.500 0.813 (multiplicity 2)
11 O 0.262 0.000 0.654 (multiplicity 2)
12 O 0.418 0.225 0.054 (multiplicity 4)
13 O 0.472 0.218 0.618 (multiplicity 4)